Record 1
The following is a computed powder diffraction line list of Ac2Pm3Si4. It was derived from a structure optimized by DFT (GGA-PBE), using λ = 1.5418 Å (Cu Kα).

Most intense lines, 15° ≤ 2θ ≤ 90°, sorted by position:
2theta  I_rel
23.1  48
24.9  44
25.6  41
26.0  50
28.9  36
30.2  47
31.1  75
31.8  72
32.0  100
35.2  52
36.0  39
50.7  37

Crystal structure
```
Ac2Pm3Si4
1.0
8.040 0.000 0.000
0.000 8.116 0.000
-2.199 0.000 7.571
Ac Pm Si
4 6 8
Direct
0.199 0.177 0.087 Ac
0.199 0.323 0.587 Ac
0.801 0.677 0.413 Ac
0.801 0.823 0.913 Ac
0.245 0.682 0.256 Pm
0.245 0.818 0.756 Pm
0.500 0.000 0.500 Pm
0.500 0.500 0.000 Pm
0.755 0.182 0.244 Pm
0.755 0.318 0.744 Pm
0.080 0.530 0.888 Si
0.080 0.970 0.388 Si
0.497 0.116 0.879 Si
0.497 0.384 0.379 Si
0.503 0.616 0.621 Si
0.503 0.884 0.121 Si
0.920 0.030 0.612 Si
0.920 0.470 0.112 Si
```

***

Record 2
The following is a computed powder diffraction line list of Ac2TmVS6. It was derived from a structure optimized by DFT (GGA-PBE), using λ = 1.5418 Å (Cu Kα).

Most intense lines, 15° ≤ 2θ ≤ 90°, sorted by position:
2theta  I_rel
15.6  27
25.2  34
25.4  100
25.8  26
29.8  35
36.2  15
36.4  45
39.8  20
44.5  30
45.3  15
52.3  18
54.7  19

Crystal structure
```
Ac2TmVS6
1.0
7.071 0.000 0.000
0.000 9.927 0.000
0.000 0.000 6.899
Ac Tm V S
4 2 2 12
Direct
0.250 0.041 0.210 Ac
0.250 0.459 0.210 Ac
0.750 0.541 0.790 Ac
0.750 0.959 0.790 Ac
0.250 0.750 0.759 Tm
0.750 0.250 0.241 Tm
0.250 0.250 0.728 V
0.750 0.750 0.272 V
0.007 0.250 0.972 S
0.030 0.250 0.474 S
0.250 0.011 0.765 S
0.250 0.489 0.765 S
0.470 0.250 0.474 S
0.493 0.250 0.972 S
0.507 0.750 0.028 S
0.530 0.750 0.526 S
0.750 0.511 0.235 S
0.750 0.989 0.235 S
0.970 0.750 0.526 S
0.993 0.750 0.028 S
```

***

Record 3
The following is a computed powder diffraction line list of Ti4AlOs3. It was derived from a structure optimized by DFT (GGA-PBE), using λ = 1.5418 Å (Cu Kα).

Most intense lines, 15° ≤ 2θ ≤ 90°, sorted by position:
2theta  I_rel
20.3  12
22.7  11
28.6  17
28.8  33
41.0  100
41.2  49
50.9  15
59.1  8
59.7  16
74.6  17
75.0  33
89.0  11

Crystal structure
```
Ti4AlOs3
1.0
3.126 0.000 0.000
0.000 4.381 0.000
0.000 0.000 8.757
Ti Al Os
4 1 3
Direct
0.000 0.000 0.000 Ti
0.000 0.000 0.500 Ti
0.000 0.500 0.243 Ti
0.000 0.500 0.757 Ti
0.500 0.500 0.500 Al
0.500 0.000 0.254 Os
0.500 0.000 0.746 Os
0.500 0.500 0.000 Os
```

***

Record 4
The following is a computed powder diffraction line list of RbAg2TeO4. It was derived from a structure optimized by DFT (GGA-PBE), using λ = 1.5418 Å (Cu Kα).

Most intense lines, 15° ≤ 2θ ≤ 90°, sorted by position:
2theta  I_rel
28.3  72
29.9  100
31.1  93
31.3  62
42.7  40
44.7  24
51.1  26
51.9  26
53.7  24
54.1  35
56.2  20
72.6  15

Crystal structure
```
RbAg2TeO4
1.0
4.064 -6.308 0.000
4.064 6.308 0.000
-3.781 0.000 5.720
Rb Ag Te O
2 4 2 8
Direct
0.000 0.500 0.000 Rb
0.500 0.000 0.500 Rb
0.000 0.000 0.000 Ag
0.000 0.000 0.500 Ag
0.000 0.500 0.500 Ag
0.500 0.000 0.000 Ag
0.500 0.500 0.000 Te
0.500 0.500 0.500 Te
0.292 0.317 0.124 O
0.311 0.620 0.500 O
0.317 0.292 0.624 O
0.380 0.689 0.000 O
0.620 0.311 0.000 O
0.683 0.708 0.376 O
0.689 0.380 0.500 O
0.708 0.683 0.876 O
```